Computed powder XRD pattern
Compound: TcNiSb2
Radiation: Cu Kα (weighted mean of Kα1 and Kα2)
Structure: a crystal structure in Alexandria, relaxed with GGA-PBE

```
data_TcNiSb2
_chemical_formula_sum 'Tc4 Ni4 Sb8'
_cell_length_a 6.571
_cell_length_b 6.571
_cell_length_c 6.571
_cell_angle_alpha 90.00
_cell_angle_beta 90.00
_cell_angle_gamma 90.00
_symmetry_space_group_name_H-M 'F m -3 m'
_symmetry_Int_Tables_number 225
_symmetry_space_group_name_Hall '-F 4 2 3'
loop_
_atom_site_label
_atom_site_fract_x
_atom_site_fract_y
_atom_site_fract_z
_atom_site_occupancy
Tc1 0.000 0.000 0.000 1
Ni1 0.000 0.000 0.500 1
Sb1 0.250 0.250 0.250 1
```

Most intense lines, 2θ from 10° to 80°, in order of falling intensity:
2θ/deg, intensity
38.76, 100
70.17, 33
55.98, 17
27.14, 4
23.45, 2
63.30, 2
47.96, 1
45.80, 1

---

Computed powder XRD pattern
Compound: Sm5DyPb5
Radiation: Cu Kα (weighted mean of Kα1 and Kα2)
Structure: a crystal structure in Alexandria, relaxed with GGA-PBE

```
data_Sm5DyPb5
_chemical_formula_sum 'Sm10 Dy2 Pb10'
_cell_length_a 16.039
_cell_length_b 6.358
_cell_length_c 7.499
_cell_angle_alpha 90.00
_cell_angle_beta 103.83
_cell_angle_gamma 90.00
_symmetry_space_group_name_H-M 'C 1 2/m 1'
_symmetry_Int_Tables_number 12
loop_
_symmetry_equiv_pos_as_xyz
'x,y,z'
'-x,-y,-z'
'-x,y,-z'
'x,-y,z'
'x+1/2,y+1/2,z'
'-x+1/2,-y+1/2,-z'
'-x+1/2,y+1/2,-z'
'x+1/2,-y+1/2,z'
loop_
_atom_site_label
_atom_site_fract_x
_atom_site_fract_y
_atom_site_fract_z
_atom_site_occupancy
Sm1 0.000 0.000 0.000 1
Sm2 0.163 0.500 0.326 1
Sm3 0.166 0.500 0.828 1
Dy1 0.000 0.000 0.500 1
Pb1 0.000 0.500 0.500 1
Pb2 0.165 0.000 0.837 1
Pb3 0.166 0.000 0.340 1
```

Most intense lines, 2θ from 10° to 80°, in order of falling intensity:
2θ/deg, intensity
28.07, 100
29.31, 89
29.46, 88
41.03, 73
41.15, 72
34.56, 58
45.09, 56
66.29, 36
66.45, 36
57.04, 28
48.56, 23
68.26, 16

---

Computed powder XRD pattern
Compound: MgPaCuSe4
Radiation: Cu Kα (weighted mean of Kα1 and Kα2)
Structure: a crystal structure in Alexandria, relaxed with GGA-PBE

```
data_MgPaCuSe4
_chemical_formula_sum 'Mg4 Pa4 Cu4 Se16'
_cell_length_a 7.856
_cell_length_b 8.206
_cell_length_c 10.965
_cell_angle_alpha 90.00
_cell_angle_beta 90.00
_cell_angle_gamma 90.00
_symmetry_space_group_name_H-M 'I m m a'
_symmetry_Int_Tables_number 74
_symmetry_space_group_name_Hall '-I 2b 2'
loop_
_atom_site_label
_atom_site_fract_x
_atom_site_fract_y
_atom_site_fract_z
_atom_site_occupancy
Mg1 0.250 0.250 0.250 1
Pa1 0.000 0.000 0.000 1
Cu1 0.000 0.250 0.646 1
Se1 0.000 0.016 0.251 1
Se2 0.246 0.250 0.992 1
```

Most intense lines, 2θ from 10° to 80°, in order of falling intensity:
2θ/deg, intensity
46.04, 100
31.53, 91
13.87, 86
25.81, 84
26.90, 48
32.67, 43
22.62, 38
16.17, 29
44.15, 29
41.74, 27
46.22, 26
35.63, 26

---

Computed powder XRD pattern
Compound: Tm8Zn2Ru
Radiation: Cu Kα (weighted mean of Kα1 and Kα2)
Structure: a crystal structure in Alexandria, relaxed with GGA-PBE

```
data_Tm8Zn2Ru
_chemical_formula_sum 'Tm16 Zn4 Ru2'
_cell_length_a 7.447
_cell_length_b 15.554
_cell_length_c 5.952
_cell_angle_alpha 90.00
_cell_angle_beta 122.76
_cell_angle_gamma 90.00
_symmetry_space_group_name_H-M 'C 1 m 1'
_symmetry_Int_Tables_number 8
loop_
_symmetry_equiv_pos_as_xyz
'x,y,z'
'x,-y,z'
'x+1/2,y+1/2,z'
'x+1/2,-y+1/2,z'
loop_
_atom_site_label
_atom_site_fract_x
_atom_site_fract_y
_atom_site_fract_z
_atom_site_occupancy
Tm1 0.000 0.000 0.000 1
Tm2 0.043 0.385 0.833 1
Tm3 0.055 0.500 0.358 1
Tm4 0.275 0.193 0.142 1
Tm5 0.497 0.382 0.479 1
Zn1 0.270 0.280 0.654 1
Ru1 0.267 0.000 0.837 1
```

Most intense lines, 2θ from 10° to 80°, in order of falling intensity:
2θ/deg, intensity
32.81, 100
33.17, 89
31.01, 49
33.41, 44
40.66, 40
30.78, 40
38.85, 30
37.76, 25
31.44, 23
60.32, 22
51.73, 21
55.64, 21

---

Computed powder XRD pattern
Compound: La2TbNd2
Radiation: Cu Kα (weighted mean of Kα1 and Kα2)
Structure: a crystal structure in Alexandria, relaxed with GGA-PBE

```
data_La2TbNd2
_chemical_formula_sum 'La8 Tb4 Nd8'
_cell_length_a 26.177
_cell_length_b 3.696
_cell_length_c 7.383
_cell_angle_alpha 90.00
_cell_angle_beta 98.08
_cell_angle_gamma 90.00
_symmetry_space_group_name_H-M 'C 1 2/m 1'
_symmetry_Int_Tables_number 12
loop_
_symmetry_equiv_pos_as_xyz
'x,y,z'
'-x,-y,-z'
'-x,y,-z'
'x,-y,z'
'x+1/2,y+1/2,z'
'-x+1/2,-y+1/2,-z'
'-x+1/2,y+1/2,-z'
'x+1/2,-y+1/2,z'
loop_
_atom_site_label
_atom_site_fract_x
_atom_site_fract_y
_atom_site_fract_z
_atom_site_occupancy
La1 0.001 0.000 0.254 1
La2 0.200 0.000 0.848 1
Tb1 0.100 0.500 0.549 1
Nd1 0.099 0.500 0.050 1
Nd2 0.199 0.000 0.351 1
```

Most intense lines, 2θ from 10° to 80°, in order of falling intensity:
2θ/deg, intensity
29.69, 100
29.71, 100
34.33, 68
49.55, 48
34.61, 33
58.64, 29
58.68, 29
59.02, 28
61.67, 25
49.31, 12
49.37, 12
72.36, 8

---

Computed powder XRD pattern
Compound: Al5Co2
Radiation: Cu Kα (weighted mean of Kα1 and Kα2)
Structure: a crystal structure in Alexandria, relaxed with GGA-PBE

```
data_Al5Co2
_chemical_formula_sum 'Al20 Co8'
_cell_length_a 7.6723
_cell_length_b 7.6723
_cell_length_c 7.5883
_cell_angle_alpha 90.00
_cell_angle_beta 90.00
_cell_angle_gamma 120.00
_symmetry_space_group_name_H-M 'P 63/m m c'
_symmetry_Int_Tables_number 194
_symmetry_space_group_name_Hall '-P 6c 2c'
loop_
_atom_site_label
_atom_site_fract_x
_atom_site_fract_y
_atom_site_fract_z
_atom_site_occupancy
Al1 0.0000 0.0000 0.0000 1
Al2 0.0643 0.5321 0.2500 1
Al3 0.1944 0.3888 0.5603 1
Co1 0.1272 0.2545 0.2500 1
Co2 0.3333 0.6667 0.7500 1
```

Most intense lines, 2θ from 10° to 80°, in order of falling intensity:
2θ/deg, intensity
43.20, 100
45.05, 95
42.52, 76
29.35, 68
47.40, 48
23.45, 38
13.33, 29
75.86, 21
47.95, 20
76.02, 20
51.00, 15
26.84, 13

---

Computed powder XRD pattern
Compound: ErMg5
Radiation: Cu Kα (weighted mean of Kα1 and Kα2)
Structure: a crystal structure in Alexandria, relaxed with GGA-PBE

```
data_ErMg5
_chemical_formula_sum 'Er1 Mg5'
_cell_length_a 3.2393
_cell_length_b 3.2393
_cell_length_c 16.1288
_cell_angle_alpha 90.00
_cell_angle_beta 90.00
_cell_angle_gamma 120.00
_symmetry_space_group_name_H-M 'P -6 m 2'
_symmetry_Int_Tables_number 187
_symmetry_space_group_name_Hall 'P -6 2'
loop_
_atom_site_label
_atom_site_fract_x
_atom_site_fract_y
_atom_site_fract_z
_atom_site_occupancy
Er1 0.0000 0.0000 0.0000 1
Mg1 0.0000 0.0000 0.3376 1
Mg2 0.3333 0.6667 0.1758 1
Mg3 0.3333 0.6667 0.5000 1
```

Most intense lines, 2θ from 10° to 80°, in order of falling intensity:
2θ/deg, intensity
36.11, 100
10.97, 73
32.39, 37
31.90, 36
33.83, 36
16.49, 32
33.33, 25
46.81, 25
39.12, 22
61.39, 20
67.52, 19
42.72, 18

---

Computed powder XRD pattern
Compound: LaBe3Cl
Radiation: Cu Kα (weighted mean of Kα1 and Kα2)
Structure: a crystal structure in Alexandria, relaxed with GGA-PBE

```
data_LaBe3Cl
_chemical_formula_sum 'La1 Be3 Cl1'
_cell_length_a 4.549
_cell_length_b 4.549
_cell_length_c 4.549
_cell_angle_alpha 90.00
_cell_angle_beta 90.00
_cell_angle_gamma 90.00
_symmetry_space_group_name_H-M 'P m -3 m'
_symmetry_Int_Tables_number 221
_symmetry_space_group_name_Hall '-P 4 2 3'
loop_
_atom_site_label
_atom_site_fract_x
_atom_site_fract_y
_atom_site_fract_z
_atom_site_occupancy
La1 0.000 0.000 0.000 1
Be1 0.000 0.500 0.500 1
Cl1 0.500 0.500 0.500 1
```

Most intense lines, 2θ from 10° to 80°, in order of falling intensity:
2θ/deg, intensity
27.74, 100
49.06, 40
19.52, 34
39.63, 25
34.14, 20
78.71, 19
44.54, 19
64.82, 17
57.29, 16
61.12, 9
68.40, 8
71.90, 5